# MgTl3Hg12
Calculated powder diffraction line list, CuKα. Input: a structure optimized by DFT (PBE).

Crystal structure
a b c (Å): 5.3310 3.6914 22.1069
angles (deg): 90.00 94.99 90.00
Positions (direct):
Mg 0.0000 0.0000 0.0000
Tl 0.1493 0.0000 0.2363
Tl 0.5000 0.0000 0.5000
Tl 0.8507 0.0000 0.7637
Hg 0.0000 0.5000 0.5000
Hg 0.0763 0.5000 0.1075
Hg 0.1891 0.0000 0.6291
Hg 0.3066 0.5000 0.3690
Hg 0.3457 0.5000 0.7537
Hg 0.4142 0.0000 0.8782
Hg 0.5000 0.5000 0.0000
Hg 0.5858 0.0000 0.1218
Hg 0.6543 0.5000 0.2463
Hg 0.6934 0.5000 0.6310
Hg 0.8109 0.0000 0.3709
Hg 0.9237 0.5000 0.8925

Main lines, by angle (5° ≤ 2θ ≤ 70°):
- (1 1 2), d = 2.886 Å, 30.99 deg, intensity 15
- (0 0 8), d = 2.754 Å, 32.52 deg, intensity 100
- (2 0 -2), d = 2.634 Å, 34.03 deg, intensity 22
- (1 1 -5), d = 2.557 Å, 35.10 deg, intensity 67
- (2 0 5), d = 2.191 Å, 41.19 deg, intensity 8
- (0 2 0), d = 1.846 Å, 49.38 deg, intensity 14
- (2 0 -10), d = 1.773 Å, 51.56 deg, intensity 9
- (1 1 10), d = 1.741 Å, 52.56 deg, intensity 8
- (0 2 8), d = 1.533 Å, 60.38 deg, intensity 13
- (1 1 -13), d = 1.511 Å, 61.34 deg, intensity 20